1.
Simulated powder diffraction line list of Sb for Cu Ka, from a crystal structure in the Materials Project, relaxed with GGA-PBE.
Kinematic intensities with the Lorentz-polarization factor, no thermal factor.

```
data_Sb
_chemical_formula_sum 'Sb6'
_space_group_name_H-M_alt 'R -3 m'
_space_group_IT_number 166
_space_group_name_Hall '-R 3 2"'
_cell_length_a 4.3860
_cell_length_b 4.3860
_cell_length_c 11.5731
_cell_angle_alpha 90.00
_cell_angle_beta 90.00
_cell_angle_gamma 120.00
loop_
_atom_site_label
_atom_site_type_symbol
_atom_site_fract_x
_atom_site_fract_y
_atom_site_fract_z
Sb1 Sb 0.0000 0.0000 0.2318
```

Largest 10 diffraction maxima, low angle first, 15 to 90 degrees two-theta:
- 2θ = 23.06°, I 7, hkl 0 0 3
- 2θ = 28.10°, I 100, hkl 0 1 2
- 2θ = 39.14°, I 35, hkl 1 0 4
- 2θ = 41.16°, I 37, hkl 1 1 0
- 2θ = 45.91°, I 8, hkl 0 1 5
- 2θ = 50.58°, I 19, hkl 2 0 2
- 2θ = 58.10°, I 11, hkl 0 2 4
- 2θ = 64.32°, I 12, hkl 1 1 6
- 2θ = 67.18°, I 16, hkl 1 2 2
- 2θ = 73.66°, I 12, hkl 2 1 4

---

2.
Simulated powder diffraction line list of HfAlPt2 for Cu Ka, from a crystal structure in the Materials Project, relaxed with GGA-PBE.
Kinematic intensities with the Lorentz-polarization factor, no thermal factor.

```
data_HfAlPt2
_chemical_formula_sum 'Hf2 Al2 Pt4'
_space_group_name_H-M_alt 'P 63/m m c'
_space_group_IT_number 194
_space_group_name_Hall '-P 6c 2c'
_cell_length_a 4.5008
_cell_length_b 4.5008
_cell_length_c 8.2290
_cell_angle_alpha 90.00
_cell_angle_beta 90.00
_cell_angle_gamma 120.00
loop_
_atom_site_label
_atom_site_type_symbol
_atom_site_fract_x
_atom_site_fract_y
_atom_site_fract_z
Hf1 Hf 0.3333 0.6667 0.2500
Al1 Al 0.0000 0.0000 0.2500
Pt1 Pt 0.3333 0.6667 0.5830
```

Largest 10 diffraction maxima, low angle first, 15 to 90 degrees two-theta:
- 2θ = 22.81°, I 58, hkl 1 0 0
- 2θ = 40.07°, I 74, hkl 1 1 0
- 2θ = 40.20°, I 100, hkl 1 0 3
- 2θ = 46.60°, I 9, hkl 2 0 0
- 2θ = 58.06°, I 35, hkl 2 0 3
- 2θ = 63.11°, I 7, hkl 2 1 0
- 2θ = 68.40°, I 5, hkl 0 0 6
- 2θ = 72.86°, I 48, hkl 3 0 0
- 2θ = 82.34°, I 19, hkl 1 1 6
- 2θ = 86.49°, I 9, hkl 2 2 0